No. 1
The following is a theoretical PXRD pattern of Ho2Al3Hg3. It was derived from a cell relaxed with GGA-PBE, using Cu Kα (λ = 1.5418 Å).
Lines closer than 0.1° are merged.

Cell and atoms:
a = 6.496 Å, b = 6.496 Å, c = 4.730 Å
α = 90.00°, β = 90.00°, γ = 120.00°
Sites, in units of the cell vectors:
Ho (0.000, 0.000, 0.000)
Ho (0.333, 0.667, 0.500)
Al (0.371, 0.186, 0.500)
Al (0.814, 0.186, 0.500)
Al (0.814, 0.629, 0.500)
Hg (0.505, 0.009, 0.000)
Hg (0.505, 0.495, 0.000)
Hg (0.991, 0.495, 0.000)

Top 10 peaks for 5° ≤ 2θ ≤ 70°, most intense first:
37.19 deg, I 100.0; 31.82 deg, I 41.9; 18.76 deg, I 28.7; 50.41 deg, I 23.6; 38.05 deg, I 19.4; 56.68 deg, I 17.8; 68.19 deg, I 17.3; 69.76 deg, I 15.6; 15.75 deg, I 10.0; 60.26 deg, I 8.6


No. 2
The following is a theoretical PXRD pattern of AlInHgTeSe3. It was derived from a cell relaxed with GGA-PBE, using Cu Kα (λ = 1.5418 Å).
Lines closer than 0.1° are merged.

Cell and atoms:
a = 5.932 Å, b = 5.979 Å, c = 7.133 Å
α = 113.44°, β = 113.83°, γ = 90.94°
Sites, in units of the cell vectors:
Al (0.000, 0.000, 0.000)
In (0.744, 0.224, 0.485)
Hg (0.506, 0.482, 0.990)
Te (0.132, 0.652, 0.714)
Se (0.344, 0.365, 0.255)
Se (0.622, 0.065, 0.736)
Se (0.923, 0.868, 0.254)

Top 10 peaks for 5° ≤ 2θ ≤ 70°, most intense first:
26.02 deg, I 100.0; 25.83 deg, I 46.3; 43.32 deg, I 41.9; 16.78 deg, I 41.7; 43.63 deg, I 40.7; 26.43 deg, I 37.3; 27.48 deg, I 28.2; 42.87 deg, I 23.3; 42.59 deg, I 22.7; 51.37 deg, I 21.6


No. 3
The following is a theoretical PXRD pattern of AlInHgTe2Se2. It was derived from a cell relaxed with GGA-PBE, using Cu Kα (λ = 1.5418 Å).
Lines closer than 0.1° are merged.

Cell and atoms:
a = 7.306 Å, b = 7.306 Å, c = 6.052 Å
α = 113.68°, β = 113.68°, γ = 108.93°
Sites, in units of the cell vectors:
Al (0.000, 0.000, 0.000)
In (0.768, 0.232, 0.500)
Hg (0.512, 0.488, 0.000)
Te (0.342, 0.056, 0.463)
Te (0.944, 0.658, 0.537)
Se (0.122, 0.363, 0.025)
Se (0.637, 0.878, 0.975)

Top 10 peaks for 5° ≤ 2θ ≤ 70°, most intense first:
25.28 deg, I 100.0; 25.79 deg, I 91.1; 42.63 deg, I 66.4; 42.33 deg, I 44.0; 16.44 deg, I 32.1; 26.78 deg, I 27.2; 41.28 deg, I 25.2; 33.21 deg, I 19.9; 34.28 deg, I 18.3; 50.57 deg, I 17.2


- What is the formula in the first record?
  Ho2Al3Hg3